1.
Structure and simulated XRD peak list of Sr4Fe3ReO12 (a crystal structure in Alexandria, relaxed with GGA+U; Cu Ka).

Crystal structure
```
data_Sr4Fe3ReO12
_chemical_formula_sum 'Sr8 Fe6 Re2 O24'
_cell_length_a 7.9763
_cell_length_b 7.9763
_cell_length_c 7.9763
_cell_angle_alpha 90.00
_cell_angle_beta 90.00
_cell_angle_gamma 90.00
_symmetry_space_group_name_H-M 'I m -3 m'
_symmetry_Int_Tables_number 229
_symmetry_space_group_name_Hall '-I 4 2 3'
loop_
_atom_site_label
_atom_site_fract_x
_atom_site_fract_y
_atom_site_fract_z
Sr1 0.2500 0.2500 0.2500
Fe1 0.0000 0.0000 0.5000
Re1 0.0000 0.0000 0.0000
O1 0.0000 0.0000 0.2373
O2 0.0000 0.2500 0.5000
```

Top 6 peaks for 2θ from 10° to 90°, low angle first:
(1 1 0), 15.7 deg, d = 5.640 Å, intensity 21; (2 2 0), 31.7 deg, d = 2.820 Å, intensity 100; (4 0 0), 45.5 deg, d = 1.994 Å, intensity 35; (4 2 2), 56.5 deg, d = 1.628 Å, intensity 39; (4 4 0), 66.3 deg, d = 1.410 Å, intensity 20; (6 2 0), 75.4 deg, d = 1.261 Å, intensity 17

---

2.
Structure and simulated XRD peak list of FeRu2O6 (a crystal structure in Alexandria, relaxed with GGA+U; Cu Ka).

Crystal structure
```
data_FeRu2O6
_chemical_formula_sum 'Fe3 Ru6 O18'
_cell_length_a 8.6197
_cell_length_b 8.6197
_cell_length_c 4.3724
_cell_angle_alpha 90.00
_cell_angle_beta 90.00
_cell_angle_gamma 120.00
_symmetry_space_group_name_H-M 'P 3 2 1'
_symmetry_Int_Tables_number 150
loop_
_symmetry_equiv_pos_as_xyz
'x,y,z'
'-y,x-y,z'
'-x+y,-x,z'
'y,x,-z'
'x-y,-y,-z'
'-x,-x+y,-z'
loop_
_atom_site_label
_atom_site_fract_x
_atom_site_fract_y
_atom_site_fract_z
Fe1 0.0000 0.0000 0.0000
Fe2 0.3333 0.6667 0.4957
Ru1 0.0000 0.3450 0.0000
Ru2 0.0000 0.6814 0.5000
O1 0.1061 0.2200 0.2336
O2 0.1079 0.5640 0.2512
O3 0.2117 0.4391 0.7377
```

Top 6 peaks for 2θ from 10° to 90°, low angle first:
(1 1 1), 29.1 deg, d = 3.069 Å, intensity 100; (3 0 0), 36.1 deg, d = 2.488 Å, intensity 39; (2 2 1), 47.0 deg, d = 1.933 Å, intensity 25; (0 3 2), 56.0 deg, d = 1.642 Å, intensity 43; (1 4 1), 60.7 deg, d = 1.526 Å, intensity 22; (3 3 0), 64.9 deg, d = 1.437 Å, intensity 16

---

3.
Structure and simulated XRD peak list of Fe2Ru2O7 (a crystal structure in Alexandria, relaxed with GGA+U; Cu Ka).

Crystal structure
Cell lengths 9.8239, 9.8239, 9.8239 Å; angles 90.00, 90.00, 90.00 degrees
Space group Fd-3m (No. 227, origin choice 2)
Symmetry-distinct sites (fractional):
Fe (0.0000, 0.0000, 0.0000)
Ru (0.0000, 0.0000, 0.5000)
O (0.0984, 0.3750, 0.8750)
O (0.1250, 0.1250, 0.1250)

Top 6 peaks for 2θ from 10° to 90°, low angle first:
(3 1 1), 30.2 deg, d = 2.962 Å, intensity 11; (2 2 2), 31.5 deg, d = 2.836 Å, intensity 100; (4 0 0), 36.6 deg, d = 2.456 Å, intensity 22; (4 4 0), 52.7 deg, d = 1.737 Å, intensity 54; (6 2 2), 62.7 deg, d = 1.481 Å, intensity 38; (6 6 2), 86.3 deg, d = 1.127 Å, intensity 15

---

4.
Structure and simulated XRD peak list of Sr3FeRuO7 (a crystal structure in Alexandria, relaxed with GGA+U; Cu Ka).

Crystal structure
```
data_Sr3FeRuO7
_chemical_formula_sum 'Sr6 Fe2 Ru2 O14'
_cell_length_a 3.8831
_cell_length_b 3.8831
_cell_length_c 21.2929
_cell_angle_alpha 90.00
_cell_angle_beta 90.00
_cell_angle_gamma 90.00
_symmetry_space_group_name_H-M 'I 4 m m'
_symmetry_Int_Tables_number 107
_symmetry_space_group_name_Hall 'I 4 -2'
loop_
_atom_site_label
_atom_site_fract_x
_atom_site_fract_y
_atom_site_fract_z
Sr1 0.0000 0.0000 0.0000
Sr2 0.0000 0.0000 0.1728
Sr3 0.0000 0.0000 0.3732
Fe1 0.0000 0.0000 0.5807
Ru1 0.0000 0.0000 0.7815
O1 0.0000 0.0000 0.4865
O2 0.0000 0.0000 0.6888
O3 0.0000 0.0000 0.8799
O4 0.0000 0.5000 0.0884
O5 0.0000 0.5000 0.2836
```

Top 6 peaks for 2θ from 10° to 90°, low angle first:
(1 0 5), 31.2 deg, d = 2.869 Å, intensity 100; (1 1 0), 32.6 deg, d = 2.746 Å, intensity 59; (2 0 0), 46.8 deg, d = 1.942 Å, intensity 35; (1 1 10), 54.5 deg, d = 1.683 Å, intensity 18; (2 1 5), 57.3 deg, d = 1.608 Å, intensity 36; (2 0 10), 65.0 deg, d = 1.435 Å, intensity 17

---

5.
Structure and simulated XRD peak list of SrFe2Ru2O7 (a crystal structure in Alexandria, relaxed with GGA+U; Cu Ka).

Crystal structure
```
data_SrFe2Ru2O7
_chemical_formula_sum 'Sr2 Fe4 Ru4 O14'
_cell_length_a 18.1818
_cell_length_b 4.3140
_cell_length_c 3.8133
_cell_angle_alpha 90.00
_cell_angle_beta 102.01
_cell_angle_gamma 90.00
_symmetry_space_group_name_H-M 'C 1 m 1'
_symmetry_Int_Tables_number 8
loop_
_symmetry_equiv_pos_as_xyz
'x,y,z'
'x,-y,z'
'x+1/2,y+1/2,z'
'x+1/2,-y+1/2,z'
loop_
_atom_site_label
_atom_site_fract_x
_atom_site_fract_y
_atom_site_fract_z
Sr1 0.0000 0.0000 0.0000
Fe1 0.2240 0.0000 0.7110
Fe2 0.2761 0.5000 0.2553
Ru1 0.1103 0.5000 0.6076
Ru2 0.3906 0.0000 0.3905
O1 0.0003 0.5000 0.5010
O2 0.1093 0.0000 0.6181
O3 0.1117 0.5000 0.1096
O4 0.2289 0.5000 0.7211
O5 0.2736 0.0000 0.2738
O6 0.3895 0.0000 0.8898
O7 0.3925 0.5000 0.3972
```

Top 6 peaks for 2θ from 10° to 90°, low angle first:
(4 0 -1), 27.8 deg, d = 3.207 Å, intensity 79; (5 1 0), 32.6 deg, d = 2.744 Å, intensity 100; (1 1 1), 32.9 deg, d = 2.720 Å, intensity 79; (0 2 0), 41.9 deg, d = 2.157 Å, intensity 62; (2 0 -2), 47.7 deg, d = 1.907 Å, intensity 41; (7 1 -2), 59.0 deg, d = 1.566 Å, intensity 36

---

6.
Structure and simulated XRD peak list of Sr3Fe2RuO9 (a crystal structure in Alexandria, relaxed with GGA+U; Cu Ka).

Crystal structure
```
data_Sr3Fe2RuO9
_chemical_formula_sum 'Sr3 Fe2 Ru1 O9'
_cell_length_a 3.9297
_cell_length_b 3.9297
_cell_length_c 12.1157
_cell_angle_alpha 90.00
_cell_angle_beta 90.00
_cell_angle_gamma 90.00
_symmetry_space_group_name_H-M 'P 4/m m m'
_symmetry_Int_Tables_number 123
_symmetry_space_group_name_Hall '-P 4 2'
loop_
_atom_site_label
_atom_site_fract_x
_atom_site_fract_y
_atom_site_fract_z
Sr1 0.0000 0.0000 0.0000
Sr2 0.0000 0.0000 0.3168
Fe1 0.5000 0.5000 0.1612
Ru1 0.5000 0.5000 0.5000
O1 0.0000 0.5000 0.1714
O2 0.0000 0.5000 0.5000
O3 0.5000 0.5000 0.0000
O4 0.5000 0.5000 0.3405
```

Top 6 peaks for 2θ from 10° to 90°, low angle first:
(1 0 3), 31.8 deg, d = 2.816 Å, intensity 100; (1 1 0), 32.2 deg, d = 2.779 Å, intensity 50; (0 0 6), 44.9 deg, d = 2.019 Å, intensity 18; (2 0 0), 46.2 deg, d = 1.965 Å, intensity 37; (2 1 3), 57.2 deg, d = 1.611 Å, intensity 37; (2 0 6), 66.4 deg, d = 1.408 Å, intensity 20

---

7.
Structure and simulated XRD peak list of Sr6Fe2Ru2O11 (a crystal structure in Alexandria, relaxed with GGA+U; Cu Ka).

Crystal structure
```
data_Sr6Fe2Ru2O11
_chemical_formula_sum 'Sr12 Fe4 Ru4 O22'
_cell_length_a 5.5003
_cell_length_b 20.6588
_cell_length_c 5.5106
_cell_angle_alpha 90.00
_cell_angle_beta 93.69
_cell_angle_gamma 90.00
_symmetry_space_group_name_H-M 'C 1 2 1'
_symmetry_Int_Tables_number 5
loop_
_symmetry_equiv_pos_as_xyz
'x,y,z'
'-x,y,-z'
'x+1/2,y+1/2,z'
'-x+1/2,y+1/2,-z'
loop_
_atom_site_label
_atom_site_fract_x
_atom_site_fract_y
_atom_site_fract_z
Sr1 0.2375 0.0000 0.2620
Sr2 0.2431 0.1897 0.2518
Sr3 0.2439 0.8193 0.2558
Fe1 0.2483 0.4046 0.2482
Ru1 0.2376 0.5998 0.2400
O1 0.0000 0.1021 0.0000
O2 0.0000 0.4087 0.5000
O3 0.0000 0.5973 0.5000
O4 0.0000 0.9073 0.0000
O5 0.0000 0.9122 0.5000
O6 0.2199 0.5049 0.2127
O7 0.2246 0.3081 0.2267
O8 0.2462 0.6969 0.2614
```

Top 6 peaks for 2θ from 10° to 90°, low angle first:
(1 5 -1), 31.1 deg, d = 2.880 Å, intensity 67; (1 5 1), 32.2 deg, d = 2.783 Å, intensity 82; (2 0 0), 32.6 deg, d = 2.747 Å, intensity 100; (2 0 -2), 45.1 deg, d = 2.008 Å, intensity 27; (2 0 2), 48.3 deg, d = 1.883 Å, intensity 25; (1 5 -3), 56.5 deg, d = 1.629 Å, intensity 32

---

8.
Structure and simulated XRD peak list of Sr8Fe2Ru2O13 (a crystal structure in Alexandria, relaxed with GGA+U; Cu Ka).

Crystal structure
```
data_Sr8Fe2Ru2O13
_chemical_formula_sum 'Sr16 Fe4 Ru4 O26'
_cell_length_a 11.8469
_cell_length_b 13.0310
_cell_length_c 5.4373
_cell_angle_alpha 90.00
_cell_angle_beta 115.36
_cell_angle_gamma 90.00
_symmetry_space_group_name_H-M 'C 1 2/m 1'
_symmetry_Int_Tables_number 12
loop_
_symmetry_equiv_pos_as_xyz
'x,y,z'
'-x,-y,-z'
'-x,y,-z'
'x,-y,z'
'x+1/2,y+1/2,z'
'-x+1/2,-y+1/2,-z'
'-x+1/2,y+1/2,-z'
'x+1/2,-y+1/2,z'
loop_
_atom_site_label
_atom_site_fract_x
_atom_site_fract_y
_atom_site_fract_z
Sr1 0.1232 0.1545 0.3651
Sr2 0.1270 0.3553 0.8744
Fe1 0.1263 0.5000 0.3759
Ru1 0.1194 0.0000 0.8571
O1 0.0000 0.0000 0.5000
O2 0.0000 0.5000 0.0000
O3 0.0000 0.5000 0.5000
O4 0.1228 0.1642 0.8693
O5 0.1395 0.3447 0.3659
O6 0.2312 0.0000 0.2414
```

Top 6 peaks for 2θ from 10° to 90°, low angle first:
(1 3 1), 30.9 deg, d = 2.893 Å, intensity 82; (3 3 -1), 31.5 deg, d = 2.839 Å, intensity 100; (2 0 -2), 33.0 deg, d = 2.717 Å, intensity 62; (4 0 0), 33.5 deg, d = 2.676 Å, intensity 61; (0 6 0), 41.6 deg, d = 2.172 Å, intensity 33; (2 0 2), 46.8 deg, d = 1.940 Å, intensity 29

---

9.
Structure and simulated XRD peak list of FeS2O8 (a crystal structure in Alexandria, relaxed with GGA+U; Cu Ka).

Crystal structure
```
data_FeS2O8
_chemical_formula_sum 'Fe9 S18 O72'
_cell_length_a 8.4445
_cell_length_b 8.4445
_cell_length_c 22.7655
_cell_angle_alpha 90.00
_cell_angle_beta 90.00
_cell_angle_gamma 120.00
_symmetry_space_group_name_H-M 'R 3'
_symmetry_Int_Tables_number 146
_symmetry_space_group_name_Hall 'R 3'
loop_
_atom_site_label
_atom_site_fract_x
_atom_site_fract_y
_atom_site_fract_z
Fe1 0.0000 0.0000 0.0000
Fe2 0.0000 0.0000 0.2047
Fe3 0.0000 0.0000 0.5032
S1 0.0027 0.7123 0.6044
S2 0.0090 0.2960 0.1051
O1 0.0196 0.2063 0.0501
O2 0.0203 0.8219 0.9451
O3 0.0665 0.8450 0.2543
O4 0.0729 0.8501 0.5554
O5 0.1484 0.6833 0.3241
O6 0.1496 0.4426 0.4324
O7 0.1766 0.4492 0.8201
O8 0.2013 0.4418 0.1194
```

Top 6 peaks for 2θ from 10° to 90°, low angle first:
(0 1 2), 14.4 deg, d = 6.153 Å, intensity 52; (1 0 4), 19.8 deg, d = 4.492 Å, intensity 25; (1 1 3), 24.1 deg, d = 3.690 Å, intensity 100; (0 2 4), 29.0 deg, d = 3.076 Å, intensity 26; (2 -1 6), 31.7 deg, d = 2.822 Å, intensity 36; (2 1 1), 32.6 deg, d = 2.744 Å, intensity 14

---

10.
Structure and simulated XRD peak list of Fe2S2O7 (a crystal structure in Alexandria, relaxed with GGA+U; Cu Ka).

Crystal structure
```
data_Fe2S2O7
_chemical_formula_sum 'Fe8 S8 O28'
_cell_length_a 7.2152
_cell_length_b 8.8306
_cell_length_c 10.1103
_cell_angle_alpha 90.00
_cell_angle_beta 109.33
_cell_angle_gamma 90.00
_symmetry_space_group_name_H-M 'C 1 2/c 1'
_symmetry_Int_Tables_number 15
loop_
_symmetry_equiv_pos_as_xyz
'x,y,z'
'-x,-y,-z'
'-x,y,-z+1/2'
'x,-y,z+1/2'
'x+1/2,y+1/2,z'
'-x+1/2,-y+1/2,-z'
'-x+1/2,y+1/2,-z+1/2'
'x+1/2,-y+1/2,z+1/2'
loop_
_atom_site_label
_atom_site_fract_x
_atom_site_fract_y
_atom_site_fract_z
Fe1 0.1772 0.0586 0.4873
S1 0.2178 0.2576 0.7799
O1 0.0000 0.3416 0.7500
O2 0.1529 0.1290 0.1305
O3 0.2135 0.1119 0.8441
O4 0.2397 0.2467 0.6398
```

Top 6 peaks for 2θ from 10° to 90°, low angle first:
(1 1 0), 16.4 deg, d = 5.392 Å, intensity 48; (2 0 0), 26.2 deg, d = 3.404 Å, intensity 84; (0 2 2), 27.5 deg, d = 3.240 Å, intensity 100; (1 1 -3), 28.6 deg, d = 3.120 Å, intensity 48; (2 2 -2), 33.6 deg, d = 2.665 Å, intensity 30; (3 1 0), 41.1 deg, d = 2.198 Å, intensity 29